The following is a computed X-ray powder pattern of Pr2TmS3. It was derived from a GGA-PBE-relaxed structure, using Cu Kα (weighted mean of Kα1 and Kα2).
Peak positions follow from Bragg's law for the DFT cell and can differ from measured ones.

Atomic structure:
```
data_Pr2TmS3
_chemical_formula_sum 'Pr2 Tm1 S3'
_cell_length_a 3.9821
_cell_length_b 3.9821
_cell_length_c 10.0029
_cell_angle_alpha 90.00
_cell_angle_beta 90.00
_cell_angle_gamma 120.00
_symmetry_space_group_name_H-M 'P -3 m 1'
_symmetry_Int_Tables_number 164
_symmetry_space_group_name_Hall '-P 3 2"'
loop_
_atom_site_label
_atom_site_type_symbol
_atom_site_fract_x
_atom_site_fract_y
_atom_site_fract_z
_atom_site_occupancy
Pr1 Pr 0.3333 0.6667 0.1714 1
Tm1 Tm 0.0000 0.0000 0.5000 1
S1 S 0.0000 0.0000 0.0000 1
S2 S 0.3333 0.6667 0.6476 1
```

Most intense lines, 5 to 70 degrees two-theta, by angle:
- d = 10.003 Å, intensity 3, hkl 0 0 1
- d = 3.334 Å, intensity 21, hkl 0 0 3
- d = 3.260 Å, intensity 58, hkl 1 0 1
- d = 2.839 Å, intensity 100, hkl 0 1 2
- d = 2.024 Å, intensity 36, hkl 1 0 4
- d = 1.991 Å, intensity 36, hkl 1 1 0
- d = 1.730 Å, intensity 11, hkl 0 1 5
- d = 1.709 Å, intensity 19, hkl 1 1 3
- d = 1.699 Å, intensity 9, hkl 0 2 1
- d = 1.667 Å, intensity 6, hkl 0 0 6
- d = 1.630 Å, intensity 19, hkl 2 0 2
- d = 1.420 Å, intensity 11, hkl 0 2 4